Record 1
LiB3C3: simulated powder XRD pattern (Cu Kα), based on the PBE geometry in Alexandria.
Lines closer than 0.1° are merged.

Structural model:
```
14
Lattice="2.332 1.346 7.564 -2.332 1.346 7.564 0.000 -2.693 7.564" Properties=species:S:1:pos:R:3 pbc="T T T"
Li 0.000 0.000 0.000
Li 0.000 0.000 11.346
B -1.559 -0.008 9.455
B -0.773 -1.354 13.237
B 0.786 -1.346 9.455
B -0.786 1.346 13.237
B 0.773 1.354 9.455
B 1.559 0.008 13.237
C -0.770 -1.346 9.455
C -1.551 -0.006 13.237
C -0.781 1.340 9.455
C 0.781 -1.340 13.237
C 1.551 0.006 9.455
C 0.770 1.346 13.237
```

The 10 most intense peaks (5 to 70 degrees two-theta), in order of rising 2θ:
23.38°, d = 3.805 Å, rel. 2
23.52°, d = 3.782 Å, rel. 100
27.10°, d = 3.290 Å, rel. 2
38.61°, d = 2.332 Å, rel. 11
38.79°, d = 2.321 Å, rel. 1
40.48°, d = 2.229 Å, rel. 2
45.70°, d = 1.985 Å, rel. 25
48.12°, d = 1.891 Å, rel. 11
63.32°, d = 1.469 Å, rel. 3
69.86°, d = 1.346 Å, rel. 9

***

Record 2
NpZn2HO6: simulated powder XRD pattern (Cu Kα), based on the PBE geometry in Alexandria.
Lines closer than 0.1° are merged.

Structural model:
```
20
Lattice="4.465 0.000 0.000 0.000 5.478 0.000 0.000 0.000 9.031" Properties=species:S:1:pos:R:3 pbc="T T T"
Np 0.000 0.000 0.000
Np 2.232 2.739 4.516
Zn 0.000 2.739 1.568
Zn 0.000 2.739 7.463
Zn 2.232 0.000 2.947
Zn 2.232 0.000 6.084
H 0.000 0.000 4.516
H 2.232 2.739 0.000
O 1.049 0.715 4.516
O 1.052 0.801 1.425
O 1.052 0.801 7.607
O 1.180 3.540 3.091
O 1.180 3.540 5.940
O 1.184 3.454 0.000
O 3.281 2.024 0.000
O 3.284 1.938 3.091
O 3.284 1.938 5.940
O 3.412 4.677 1.425
O 3.412 4.677 7.607
O 3.416 4.763 4.516
```

The 10 most intense peaks (5 to 70 degrees two-theta), in order of rising 2θ:
18.95°, d = 4.684 Å, rel. 37
19.66°, d = 4.516 Å, rel. 16
22.21°, d = 4.002 Å, rel. 86
32.62°, d = 2.745 Å, rel. 100
33.98°, d = 2.638 Å, rel. 33
39.89°, d = 2.260 Å, rel. 42
48.12°, d = 1.891 Å, rel. 21
52.91°, d = 1.730 Å, rel. 15
53.79°, d = 1.704 Å, rel. 33
58.29°, d = 1.583 Å, rel. 15

***

Record 3
Cs2H7N2: simulated powder XRD pattern (Cu Kα), based on the PBE geometry in Alexandria.
Lines closer than 0.1° are merged.

Structural model:
```
11
Lattice="6.479 -4.741 0.000 6.479 4.741 0.000 -0.937 0.000 4.688" Properties=species:S:1:pos:R:3 pbc="T T T"
Cs 6.479 2.781 0.000
Cs 6.479 -2.781 0.000
H -0.469 0.000 2.344
H 1.462 0.000 2.111
H 2.862 0.809 1.723
H 2.862 -0.809 1.723
H 9.159 0.809 2.964
H 9.159 -0.809 2.964
H 10.559 0.000 2.576
N 2.282 0.000 1.472
N 9.739 0.000 3.216
```

The 10 most intense peaks (5 to 70 degrees two-theta), in order of rising 2θ:
11.65°, d = 7.599 Å, rel. 42
13.94°, d = 6.353 Å, rel. 100
18.72°, d = 4.741 Å, rel. 33
18.93°, d = 4.688 Å, rel. 54
21.23°, d = 4.184 Å, rel. 64
23.41°, d = 3.799 Å, rel. 74
25.74°, d = 3.462 Å, rel. 30
26.74°, d = 3.333 Å, rel. 49
28.09°, d = 3.177 Å, rel. 28
32.01°, d = 2.796 Å, rel. 28

***

Record 4
Th5GaTe5: simulated powder XRD pattern (Cu Kα), based on the PBE geometry in Alexandria.
Lines closer than 0.1° are merged.

Structural model:
```
11
Lattice="6.939 -3.120 0.000 6.939 3.120 0.000 -2.866 0.000 8.431" Properties=species:S:1:pos:R:3 pbc="T T T"
Th 0.000 0.000 0.000
Th 4.222 0.000 1.255
Th 2.799 0.000 5.787
Th 8.214 0.000 2.645
Th 6.791 0.000 7.176
Ga 6.939 0.000 0.000
Te -0.188 0.000 6.788
Te 1.341 0.000 2.890
Te 5.506 0.000 4.216
Te 9.672 0.000 5.541
Te 11.201 0.000 1.643
```

The 10 most intense peaks (5 to 70 degrees two-theta), in order of rising 2θ:
28.59°, d = 3.122 Å, rel. 100
29.53°, d = 3.025 Å, rel. 6
33.61°, d = 2.666 Å, rel. 6
40.52°, d = 2.226 Å, rel. 12
40.89°, d = 2.207 Å, rel. 51
41.22°, d = 2.190 Å, rel. 12
50.35°, d = 1.812 Å, rel. 13
50.94°, d = 1.793 Å, rel. 13
59.19°, d = 1.561 Å, rel. 12
67.04°, d = 1.396 Å, rel. 22

***

Record 5
La7Sm3Er: simulated powder XRD pattern (Cu Kα), based on the PBE geometry in Alexandria.
Lines closer than 0.1° are merged.

Structural model:
```
11
Lattice="6.501 -5.772 0.000 6.501 5.772 0.000 -2.817 0.000 5.364" Properties=species:S:1:pos:R:3 pbc="T T T"
La 0.000 0.000 0.000
La 3.107 2.419 1.633
La 1.533 0.000 4.222
La 7.077 2.419 3.730
La 3.107 -2.419 1.633
La 8.651 0.000 1.142
La 7.077 -2.419 3.730
Sm 6.501 2.383 0.000
Sm 5.092 0.000 2.682
Sm 6.501 -2.383 0.000
Er -1.409 0.000 2.682
```

The 10 most intense peaks (5 to 70 degrees two-theta), in order of rising 2θ:
22.65°, d = 3.926 Å, rel. 9
24.41°, d = 3.646 Å, rel. 17
27.50°, d = 3.244 Å, rel. 11
29.49°, d = 3.029 Å, rel. 41
31.03°, d = 2.882 Å, rel. 34
31.65°, d = 2.827 Å, rel. 100
38.64°, d = 2.330 Å, rel. 10
43.33°, d = 2.088 Å, rel. 27
53.68°, d = 1.707 Å, rel. 22
60.35°, d = 1.534 Å, rel. 10

***

Record 6
Ge3Sb2Te6: simulated powder XRD pattern (Cu Kα), based on the PBE geometry in Alexandria.
Lines closer than 0.1° are merged.

Structural model:
```
11
Lattice="3.688 -2.125 0.000 3.688 2.125 0.000 -2.480 0.000 21.547" Properties=species:S:1:pos:R:3 pbc="T T T"
Ge 0.000 0.000 0.000
Ge -0.005 0.000 5.916
Ge -0.018 0.000 17.866
Sb 2.445 0.000 13.928
Sb 4.908 0.000 9.870
Te -0.011 0.000 11.918
Te 2.457 0.000 1.413
Te 2.453 0.000 8.124
Te 2.438 0.000 19.304
Te 4.914 0.000 4.498
Te 4.900 0.000 15.695
```

The 10 most intense peaks (5 to 70 degrees two-theta), in order of rising 2θ:
28.60°, d = 3.121 Å, rel. 100
39.22°, d = 2.297 Å, rel. 31
42.50°, d = 2.127 Å, rel. 37
42.72°, d = 2.116 Å, rel. 5
46.37°, d = 1.958 Å, rel. 5
52.03°, d = 1.758 Å, rel. 19
59.20°, d = 1.561 Å, rel. 9
64.69°, d = 1.441 Å, rel. 9
69.32°, d = 1.355 Å, rel. 10
69.42°, d = 1.354 Å, rel. 5

***

Record 7
MgB2Rh4: simulated powder XRD pattern (Cu Kα), based on the PBE geometry in Alexandria.
Lines closer than 0.1° are merged.

Structural model:
```
14
Lattice="5.352 0.000 0.000 1.514 5.317 0.000 2.491 1.633 6.253" Properties=species:S:1:pos:R:3 pbc="T T T"
Mg 0.000 0.000 0.000
Mg 3.602 5.188 3.775
B 1.744 2.571 0.931
B 4.467 2.644 3.135
B 4.359 5.041 0.130
B 6.753 4.229 4.377
Rh 2.511 2.597 3.813
Rh 3.259 3.884 1.440
Rh 5.089 3.416 5.262
Rh 3.288 1.129 1.575
Rh 6.098 6.177 4.545
Rh 5.919 4.110 2.485
Rh 7.767 4.586 6.183
Rh 5.885 1.394 2.164
```

The 10 most intense peaks (5 to 70 degrees two-theta), in order of rising 2θ:
34.18°, d = 2.623 Å, rel. 32
35.04°, d = 2.561 Å, rel. 60
36.52°, d = 2.461 Å, rel. 100
37.66°, d = 2.389 Å, rel. 53
38.45°, d = 2.341 Å, rel. 79
39.31°, d = 2.292 Å, rel. 74
41.18°, d = 2.192 Å, rel. 98
41.73°, d = 2.164 Å, rel. 64
43.81°, d = 2.067 Å, rel. 70
46.34°, d = 1.959 Å, rel. 31

***

Record 8
Na2PbAu2O6: simulated powder XRD pattern (Cu Kα), based on the PBE geometry in Alexandria.
Lines closer than 0.1° are merged.

Structural model:
```
11
Lattice="5.771 0.000 0.000 -2.886 4.998 0.000 0.000 0.000 5.760" Properties=species:S:1:pos:R:3 pbc="T T T"
Na 0.000 3.332 0.000
Na 2.886 1.666 0.000
Pb 0.000 0.000 2.880
Au 0.000 3.332 2.880
Au 2.886 1.666 2.880
O -0.966 1.674 1.705
O -1.919 3.324 4.055
O 1.933 0.000 1.705
O 0.966 1.674 4.055
O 3.839 0.000 4.055
O 1.919 3.324 1.705
```

The 10 most intense peaks (5 to 70 degrees two-theta), in order of rising 2θ:
15.38°, d = 5.760 Å, rel. 100
31.00°, d = 2.884 Å, rel. 80
34.77°, d = 2.580 Å, rel. 75
44.44°, d = 2.039 Å, rel. 62
47.34°, d = 1.920 Å, rel. 4
55.13°, d = 1.666 Å, rel. 19
57.63°, d = 1.600 Å, rel. 42
64.62°, d = 1.442 Å, rel. 23
64.73°, d = 1.440 Å, rel. 3
66.85°, d = 1.400 Å, rel. 12

***

Record 9
PuAg2TeO6: simulated powder XRD pattern (Cu Kα), based on the PBE geometry in Alexandria.
Lines closer than 0.1° are merged.

Structural model:
```
10
Lattice="5.903 0.000 0.000 0.000 5.903 0.000 0.000 0.000 4.160" Properties=species:S:1:pos:R:3 pbc="T T T"
Pu 0.000 0.000 0.000
Ag 0.000 2.951 1.869
Ag 2.951 0.000 1.869
Te 2.951 2.951 4.124
O 0.000 0.000 2.087
O 1.511 1.511 0.039
O 1.511 4.392 0.039
O 2.951 2.951 2.104
O 4.392 1.511 0.039
O 4.392 4.392 0.039
```

The 10 most intense peaks (5 to 70 degrees two-theta), in order of rising 2θ:
15.01°, d = 5.903 Å, rel. 6
21.32°, d = 4.168 Å, rel. 12
26.21°, d = 3.400 Å, rel. 4
30.32°, d = 2.948 Å, rel. 100
43.36°, d = 2.087 Å, rel. 19
43.51°, d = 2.080 Å, rel. 9
48.81°, d = 1.866 Å, rel. 4
53.86°, d = 1.702 Å, rel. 39
62.99°, d = 1.476 Å, rel. 6
63.11°, d = 1.473 Å, rel. 11

***

Record 10
SnO4: simulated powder XRD pattern (Cu Kα), based on the PBE geometry in Alexandria.
Lines closer than 0.1° are merged.

Structural model:
```
5
Lattice="4.078 0.000 0.000 0.000 4.078 0.000 0.000 0.000 4.078" Properties=species:S:1:pos:R:3 pbc="T T T"
Sn 0.000 0.000 0.000
O 0.000 0.000 2.039
O 0.000 2.039 0.000
O 2.039 0.000 0.000
O 2.039 2.039 2.039
```

The 8 most intense peaks (5 to 70 degrees two-theta), in order of rising 2θ:
21.79°, d = 4.078 Å, rel. 100
31.01°, d = 2.884 Å, rel. 84
38.22°, d = 2.355 Å, rel. 7
44.43°, d = 2.039 Å, rel. 36
50.01°, d = 1.824 Å, rel. 46
55.16°, d = 1.665 Å, rel. 34
64.64°, d = 1.442 Å, rel. 21
69.09°, d = 1.359 Å, rel. 23

***

Record 11
Er13Mg2: simulated powder XRD pattern (Cu Kα), based on the PBE geometry in Alexandria.
Lines closer than 0.1° are merged.

Structural model:
```
15
Lattice="6.635 0.000 0.000 1.146 8.389 0.000 1.690 3.403 8.014" Properties=species:S:1:pos:R:3 pbc="T T T"
Er 0.000 0.000 0.000
Er 2.629 6.561 5.983
Er 1.820 2.447 1.231
Er 3.708 9.867 4.603
Er 4.456 8.863 7.784
Er 3.607 4.761 3.122
Er 4.728 3.877 6.385
Er 4.744 7.915 1.629
Er 5.864 7.032 4.892
Er 5.016 2.930 0.230
Er 5.764 1.926 3.411
Er 7.652 9.346 6.783
Er 6.843 5.231 2.030
Mg 1.924 7.642 3.073
Mg 7.548 4.151 4.941
```

The 10 most intense peaks (5 to 70 degrees two-theta), in order of rising 2θ:
30.85°, d = 2.899 Å, rel. 10
31.35°, d = 2.853 Å, rel. 28
32.37°, d = 2.765 Å, rel. 100
32.78°, d = 2.732 Å, rel. 8
33.18°, d = 2.700 Å, rel. 61
44.46°, d = 2.038 Å, rel. 10
46.95°, d = 1.935 Å, rel. 10
48.30°, d = 1.884 Å, rel. 15
58.75°, d = 1.572 Å, rel. 11
59.27°, d = 1.559 Å, rel. 7

***

Record 12
K4CePr3S8: simulated powder XRD pattern (Cu Kα), based on the PBE geometry in Alexandria.
Lines closer than 0.1° are merged.

Structural model:
```
16
Lattice="4.231 2.443 7.389 -4.231 2.443 7.389 0.000 -4.885 7.389" Properties=species:S:1:pos:R:3 pbc="T T T"
K 0.000 0.000 0.000
K -2.115 -1.221 7.389
K -2.115 1.221 14.778
K 0.000 2.443 7.389
Ce 0.000 0.000 11.084
Pr -4.231 0.000 11.084
Pr -2.115 1.221 3.695
Pr 2.115 1.221 3.695
S 0.000 0.000 5.241
S -2.104 -1.215 12.618
S 0.000 -2.430 9.549
S -2.104 1.215 9.549
S 2.104 -1.215 12.618
S 0.000 2.430 12.618
S 2.104 1.215 9.549
S 0.000 0.000 16.926
```

The 10 most intense peaks (5 to 70 degrees two-theta), in order of rising 2θ:
11.98°, d = 7.389 Å, rel. 60
24.09°, d = 3.695 Å, rel. 13
24.63°, d = 3.615 Å, rel. 22
25.61°, d = 3.479 Å, rel. 30
29.22°, d = 3.056 Å, rel. 100
37.54°, d = 2.396 Å, rel. 16
40.83°, d = 2.210 Å, rel. 35
42.74°, d = 2.115 Å, rel. 35
44.55°, d = 2.034 Å, rel. 15
52.62°, d = 1.739 Å, rel. 18

***

Record 13
TbPm10Dy4: simulated powder XRD pattern (Cu Kα), based on the PBE geometry in Alexandria.
Lines closer than 0.1° are merged.

Structural model:
```
15
Lattice="-6.158 6.158 3.885 6.158 -6.158 3.885 6.158 6.158 -3.885" Properties=species:S:1:pos:R:3 pbc="T T T"
Tb 0.000 0.000 0.000
Pm 7.386 3.690 -1.941
Pm 3.690 4.931 -1.941
Pm 6.158 0.000 1.943
Pm 2.468 1.228 1.944
Pm -1.228 2.468 1.944
Pm 7.386 3.690 1.941
Pm 3.690 4.931 1.941
Pm 0.000 6.158 1.943
Pm 2.468 1.228 5.826
Pm -1.228 2.468 5.826
Dy 4.923 2.467 0.000
Dy 3.691 -1.235 3.885
Dy 2.467 7.394 0.000
Dy 1.235 3.691 3.885
```

The 10 most intense peaks (5 to 70 degrees two-theta), in order of rising 2θ:
19.76°, d = 4.494 Å, rel. 28
22.85°, d = 3.892 Å, rel. 11
32.54°, d = 2.752 Å, rel. 100
38.36°, d = 2.347 Å, rel. 16
46.64°, d = 1.947 Å, rel. 12
46.76°, d = 1.943 Å, rel. 6
51.16°, d = 1.786 Å, rel. 7
58.05°, d = 1.589 Å, rel. 38
61.92°, d = 1.499 Å, rel. 4
68.15°, d = 1.376 Å, rel. 12